For Li4V5O9F, DFT lattice parameters and positions (GGA+U) gives the theoretical powder diffractogram in this record (Cu Kα (λ = 1.5418 Å)).
Kinematic intensities with the Lorentz-polarization factor, no thermal factor.

Atomic structure:
```
data_Li4V5O9F
_chemical_formula_sum 'Li4 V5 O9 F1'
_cell_length_a 5.221
_cell_length_b 5.221
_cell_length_c 13.101
_cell_angle_alpha 100.50
_cell_angle_beta 100.50
_cell_angle_gamma 33.41
_symmetry_space_group_name_H-M 'P 1'
_symmetry_Int_Tables_number 1
_symmetry_space_group_name_Hall 'P 1'
loop_
_atom_site_label
_atom_site_type_symbol
_atom_site_fract_x
_atom_site_fract_y
_atom_site_fract_z
Li1 Li 0.000 0.000 0.000
Li2 Li 0.407 0.407 0.802
Li3 Li 0.592 0.592 0.202
Li4 Li 0.815 0.815 0.595
V1 V 0.114 0.114 0.708
V2 V 0.297 0.297 0.105
V3 V 0.524 0.524 0.509
V4 V 0.705 0.705 0.906
V5 V 0.875 0.875 0.304
O1 O 0.067 0.067 0.855
O2 O 0.159 0.159 0.563
O3 O 0.249 0.249 0.251
O4 O 0.344 0.344 0.959
O5 O 0.477 0.477 0.655
O6 O 0.658 0.658 0.054
O7 O 0.752 0.752 0.761
O8 O 0.896 0.896 0.456
O9 O 0.933 0.933 0.162
F1 F 0.531 0.531 0.343
```

Main lines, low angle first (15 to 90 degrees two-theta):
d/Å, Position (°2θ), I/Imax
4.908, 18.07, 100
2.570, 34.91, 39
2.451, 36.67, 8
2.135, 42.34, 51
2.118, 42.69, 27
1.643, 55.96, 8
1.510, 61.41, 15
1.497, 61.98, 12